Structure and simulated X-ray diffraction stick pattern of Ac3MgIn2Au6 (a DFT-relaxed cell (GGA-PBE, Alexandria); Cu Kα X-rays).

Largest 10 diffraction maxima, low angle first, 10 to 80 degrees two-theta:
- 2θ 18.77, d = 4.727 Å, I = 17, hkl 0 1 1
- 2θ 27.64, d = 3.227 Å, I = 15, hkl 1 1 0
- 2θ 30.28, d = 2.952 Å, I = 32, hkl 0 0 3
- 2θ 32.02, d = 2.795 Å, I = 16, hkl 2 0 0
- 2θ 33.63, d = 2.665 Å, I = 100, hkl 0 2 1
- 2θ 34.38, d = 2.609 Å, I = 52, hkl 1 1 2
- 2θ 38.08, d = 2.363 Å, I = 54, hkl 2 0 2
- 2θ 53.34, d = 1.718 Å, I = 18, hkl 0 3 2
- 2θ 57.08, d = 1.614 Å, I = 28, hkl 2 2 0
- 2θ 65.98, d = 1.416 Å, I = 19, hkl 2 2 3

Structural model:
Cell: 6.4543 6.4543 8.8560 Å, 90.00 90.00 120.00°
Element x y z (fractional)
Ac (0.0000, 0.0000, 0.0000)
Ac (0.3333, 0.6667, 0.6262)
Ac (0.6667, 0.3333, 0.3738)
Mg (0.0000, 0.0000, 0.5000)
In (0.3333, 0.6667, 0.0161)
In (0.6667, 0.3333, 0.9839)
Au (0.1804, 0.3607, 0.2890)
Au (0.1804, 0.8196, 0.2890)
Au (0.3607, 0.1804, 0.7110)
Au (0.6393, 0.8196, 0.2890)
Au (0.8196, 0.1804, 0.7110)
Au (0.8196, 0.6393, 0.7110)